# 1
Pr2ErHg5: simulated powder diffractogram (Cu Kα (weighted mean of Kα1 and Kα2)), based on a crystal structure in Alexandria, relaxed with PBE.
Lines closer than 0.1° are merged.

Atomic structure:
Cell: 5.220 5.220 15.297 Å, 90.00 90.00 90.00°
Space group I4/mmm (No. 139)
Unique sites:
Pr1 0.000 0.000 0.237
Er1 0.000 0.000 0.500
Hg1 0.000 0.000 0.000
Hg2 0.000 0.500 0.116

Peak list (8 most intense, 2θ = 10–80°, low angle first)
- 2.656 Å, 2θ = 33.7°, I = 1000, (1 1 4)
- 2.610 Å, 2θ = 34.4°, I = 502, (2 0 0)
- 1.912 Å, 2θ = 47.6°, I = 83, (0 0 8)
- 1.846 Å, 2θ = 49.4°, I = 183, (2 2 0)
- 1.543 Å, 2θ = 60.0°, I = 166, (2 0 8)
- 1.516 Å, 2θ = 61.1°, I = 368, (3 1 4)
- 1.328 Å, 2θ = 71.0°, I = 102, (2 2 8)
- 1.305 Å, 2θ = 72.4°, I = 59, (4 0 0)

# 2
PrEr3Hg4: simulated powder diffractogram (Cu Kα (weighted mean of Kα1 and Kα2)), based on a crystal structure in Alexandria, relaxed with PBE.
Lines closer than 0.1° are merged.

Atomic structure:
Cell: 10.477 7.608 5.237 Å, 90.00 90.00 90.00°
Space group Pmma (No. 51)
Unique sites:
Pr1 0.000 0.000 0.000
Er1 0.000 0.500 0.000
Er2 0.250 0.000 0.499
Er3 0.250 0.500 0.499
Hg1 0.000 0.264 0.500
Hg2 0.250 0.264 0.999

Peak list (8 most intense, 2θ = 10–80°, low angle first)
- 2.654 Å, 2θ = 33.8°, I = 1000, (2 2 1)
- 2.619 Å, 2θ = 34.2°, I = 491, (4 0 0)
- 1.902 Å, 2θ = 47.8°, I = 91, (0 4 0)
- 1.852 Å, 2θ = 49.2°, I = 179, (4 0 2)
- 1.539 Å, 2θ = 60.1°, I = 184, (4 4 0)
- 1.519 Å, 2θ = 61.0°, I = 371, (6 2 1)
- 1.327 Å, 2θ = 71.0°, I = 113, (4 4 2)
- 1.200 Å, 2θ = 80.0°, I = 75, (2 6 1)

# 3
Er4Hg2Pt: simulated powder diffractogram (Cu Kα (weighted mean of Kα1 and Kα2)), based on a crystal structure in Alexandria, relaxed with PBE.
Lines closer than 0.1° are merged.

Atomic structure:
Cell: 7.854 12.548 4.024 Å, 90.00 90.00 90.00°
Space group Pbam (No. 55)
Unique sites:
Er1 0.128 0.203 0.000
Er2 0.231 0.947 0.500
Hg1 0.084 0.669 0.500
Pt1 0.000 0.000 0.000

Peak list (8 most intense, 2θ = 10–80°, low angle first)
- 3.692 Å, 2θ = 24.1°, I = 367, (1 3 0)
- 3.444 Å, 2θ = 25.9°, I = 652, (1 1 1)
- 2.913 Å, 2θ = 30.7°, I = 725, (1 4 0)
- 2.743 Å, 2θ = 32.7°, I = 1000, (2 1 1)
- 2.565 Å, 2θ = 35.0°, I = 613, (2 2 1)
- 2.416 Å, 2θ = 37.2°, I = 364, (3 2 0)
- 2.055 Å, 2θ = 44.1°, I = 402, (1 5 1)
- 2.012 Å, 2θ = 45.1°, I = 423, (0 0 2)

# 4
Er6HgPt5: simulated powder diffractogram (Cu Kα (weighted mean of Kα1 and Kα2)), based on a crystal structure in Alexandria, relaxed with PBE.
Lines closer than 0.1° are merged.

Atomic structure:
Cell: 4.942 7.017 14.809 Å, 90.00 90.00 90.00°
Space group Immm (No. 71)
Unique sites:
Er1 0.000 0.238 0.000
Er2 0.000 0.256 0.329
Hg1 0.000 0.000 0.500
Pt1 0.000 0.000 0.170
Pt2 0.000 0.500 0.159
Pt3 0.000 0.500 0.500

Peak list (8 most intense, 2θ = 10–80°, low angle first)
- 2.474 Å, 2θ = 36.3°, I = 1000, (2 0 0)
- 2.468 Å, 2θ = 36.4°, I = 196, (0 0 6)
- 1.754 Å, 2θ = 52.1°, I = 71, (0 4 0)
- 1.746 Å, 2θ = 52.4°, I = 140, (2 0 6)
- 1.430 Å, 2θ = 65.2°, I = 144, (2 4 0)
- 1.427 Å, 2θ = 65.4°, I = 285, (3 2 3)
- 1.238 Å, 2θ = 77.1°, I = 89, (2 4 6)
- 1.236 Å, 2θ = 77.2°, I = 23, (4 0 0)

# 5
Er7Hg2Pt2: simulated powder diffractogram (Cu Kα (weighted mean of Kα1 and Kα2)), based on a crystal structure in Alexandria, relaxed with PBE.
Lines closer than 0.1° are merged.

Atomic structure:
Cell: 8.087 10.835 7.053 Å, 90.00 90.00 90.00°
Space group Cmmm (No. 65)
Unique sites:
Er1 0.000 0.000 0.000
Er2 0.000 0.500 0.248
Er3 0.250 0.250 0.255
Hg1 0.184 0.000 0.500
Pt1 0.000 0.288 0.000

Peak list (8 most intense, 2θ = 10–80°, low angle first)
- 4.296 Å, 2θ = 20.7°, I = 332, (0 2 1)
- 3.508 Å, 2θ = 25.4°, I = 476, (2 0 1)
- 3.098 Å, 2θ = 28.8°, I = 316, (1 1 2)
- 2.709 Å, 2θ = 33.1°, I = 546, (0 4 0)
- 2.409 Å, 2θ = 37.3°, I = 409, (1 3 2)
- 2.386 Å, 2θ = 37.7°, I = 1000, (2 2 2)
- 2.066 Å, 2θ = 43.8°, I = 200, (3 3 1)
- 1.478 Å, 2θ = 62.9°, I = 184, (0 4 4)

# 6
Er4Hg2Rh: simulated powder diffractogram (Cu Kα (weighted mean of Kα1 and Kα2)), based on a crystal structure in Alexandria, relaxed with PBE.
Lines closer than 0.1° are merged.

Atomic structure:
Cell: 7.890 12.516 3.961 Å, 90.00 90.00 90.00°
Space group Pbam (No. 55)
Unique sites:
Er1 0.130 0.197 0.000
Er2 0.225 0.947 0.500
Hg1 0.078 0.668 0.500
Rh1 0.000 0.000 0.000

Peak list (8 most intense, 2θ = 10–80°, low angle first)
- 3.406 Å, 2θ = 26.2°, I = 414, (1 1 1)
- 2.909 Å, 2θ = 30.7°, I = 756, (1 4 0)
- 2.728 Å, 2θ = 32.8°, I = 1000, (2 1 1)
- 2.699 Å, 2θ = 33.2°, I = 525, (1 3 1)
- 2.552 Å, 2θ = 35.2°, I = 483, (2 2 1)
- 2.425 Å, 2θ = 37.1°, I = 385, (3 2 0)
- 1.980 Å, 2θ = 45.8°, I = 338, (0 0 2)
- 1.636 Å, 2θ = 56.2°, I = 342, (1 4 2)

# 7
Er3HgRh8: simulated powder diffractogram (Cu Kα (weighted mean of Kα1 and Kα2)), based on a crystal structure in Alexandria, relaxed with PBE.
Lines closer than 0.1° are merged.

Atomic structure:
Cell: 5.2850 5.2850 26.0535 Å, 90.00 90.00 120.00°
Space group R3m (No. 160, hexagonal axes)
Unique sites:
Er1 0.0000 0.0000 0.0000
Er2 0.0000 0.0000 0.1292
Er3 0.0000 0.0000 0.6188
Hg1 0.0000 0.0000 0.4973
Rh1 0.0000 0.0000 0.3121
Rh2 0.0000 0.0000 0.8121
Rh3 0.0012 0.5006 0.5625
Rh4 0.1670 0.3340 0.3948

Peak list (8 most intense, 2θ = 10–80°, low angle first)
- 2.654 Å, 2θ = 33.8°, I = 295, (0 1 8)
- 2.643 Å, 2θ = 33.9°, I = 302, (1 1 0)
- 2.264 Å, 2θ = 39.8°, I = 321, (1 0 10)
- 2.256 Å, 2θ = 40.0°, I = 1000, (1 1 6)
- 2.159 Å, 2θ = 41.8°, I = 246, (0 2 4)
- 1.527 Å, 2θ = 60.6°, I = 169, (3 0 0)
- 1.440 Å, 2θ = 64.7°, I = 312, (3 0 6)
- 1.321 Å, 2θ = 71.4°, I = 169, (2 2 0)

# 8
Er3Hg2Rh: simulated powder diffractogram (Cu Kα (weighted mean of Kα1 and Kα2)), based on a crystal structure in Alexandria, relaxed with PBE.
Lines closer than 0.1° are merged.

Atomic structure:
Cell: 5.030 7.364 7.921 Å, 90.00 108.37 90.00°
Space group P2/m (No. 10)
Unique sites:
Er1 0.000 0.237 0.000
Er2 0.326 0.228 0.654
Hg1 0.165 0.500 0.331
Hg2 0.500 0.000 0.000
Hg3 0.500 0.500 0.000
Rh1 0.164 0.000 0.328

Peak list (8 most intense, 2θ = 10–80°, low angle first)
- 2.556 Å, 2θ = 35.1°, I = 1000, (1 2 1)
- 2.515 Å, 2θ = 35.7°, I = 248, (2 0 -1)
- 2.506 Å, 2θ = 35.8°, I = 240, (0 0 3)
- 1.841 Å, 2θ = 49.5°, I = 87, (0 4 0)
- 1.777 Å, 2θ = 51.4°, I = 86, (2 0 2)
- 1.773 Å, 2θ = 51.5°, I = 86, (2 0 -4)
- 1.485 Å, 2θ = 62.6°, I = 172, (2 4 -1)
- 1.460 Å, 2θ = 63.8°, I = 179, (3 2 0)

# 9
ErSnHgRh: simulated powder diffractogram (Cu Kα (weighted mean of Kα1 and Kα2)), based on a crystal structure in Alexandria, relaxed with PBE.
Lines closer than 0.1° are merged.

Atomic structure:
Cell: 6.951 6.951 6.951 Å, 90.00 90.00 90.00°
Space group F-43m (No. 216)
Unique sites:
Er1 0.000 0.000 0.000
Sn1 0.000 0.000 0.500
Hg1 0.250 0.250 0.250
Rh1 0.250 0.250 0.750

Peak list (8 most intense, 2θ = 10–80°, low angle first)
- 4.013 Å, 2θ = 22.1°, I = 69, (1 1 1)
- 2.458 Å, 2θ = 36.6°, I = 1000, (2 2 0)
- 2.096 Å, 2θ = 43.2°, I = 40, (3 1 1)
- 1.738 Å, 2θ = 52.7°, I = 177, (4 0 0)
- 1.595 Å, 2θ = 57.8°, I = 17, (3 3 1)
- 1.419 Å, 2θ = 65.8°, I = 365, (4 2 2)
- 1.338 Å, 2θ = 70.4°, I = 13, (5 1 1)
- 1.229 Å, 2θ = 77.7°, I = 115, (4 4 0)

# 10
Er7HgRu4: simulated powder diffractogram (Cu Kα (weighted mean of Kα1 and Kα2)), based on a crystal structure in Alexandria, relaxed with PBE.
Lines closer than 0.1° are merged.

Atomic structure:
Cell: 13.577 5.406 9.568 Å, 90.00 126.59 90.00°
Space group C2/m (No. 12)
Unique sites:
Er1 0.000 0.000 0.000
Er2 0.074 0.500 0.369
Er3 0.181 0.000 0.632
Er4 0.215 0.500 0.876
Hg1 0.000 0.500 0.000
Ru1 0.065 0.000 0.776
Ru2 0.200 0.000 0.351

Peak list (8 most intense, 2θ = 10–80°, low angle first)
- 3.251 Å, 2θ = 27.4°, I = 382, (4 0 -1)
- 2.932 Å, 2θ = 30.5°, I = 306, (4 0 -3)
- 2.728 Å, 2θ = 32.8°, I = 571, (3 1 -3)
- 2.703 Å, 2θ = 33.1°, I = 1000, (0 2 0)
- 2.683 Å, 2θ = 33.4°, I = 380, (1 1 2)
- 2.428 Å, 2θ = 37.0°, I = 598, (3 1 1)
- 2.334 Å, 2θ = 38.6°, I = 448, (5 1 -3)
- 2.291 Å, 2θ = 39.3°, I = 513, (2 0 -4)

# 11
SmErHgRu: simulated powder diffractogram (Cu Kα (weighted mean of Kα1 and Kα2)), based on a crystal structure in Alexandria, relaxed with PBE.
Lines closer than 0.1° are merged.

Atomic structure:
Cell: 3.492 3.492 7.592 Å, 90.00 90.00 90.00°
Space group P4mm (No. 99)
Unique sites:
Sm1 0.000 0.000 0.000
Er1 0.000 0.000 0.560
Hg1 0.500 0.500 0.293
Ru1 0.500 0.500 0.770

Peak list (8 most intense, 2θ = 10–80°, low angle first)
- 3.173 Å, 2θ = 28.1°, I = 118, (1 0 1)
- 2.570 Å, 2θ = 34.9°, I = 1000, (1 0 2)
- 2.469 Å, 2θ = 36.4°, I = 486, (1 1 0)
- 1.898 Å, 2θ = 47.9°, I = 80, (0 0 4)
- 1.746 Å, 2θ = 52.4°, I = 172, (2 0 0)
- 1.505 Å, 2θ = 61.6°, I = 150, (1 1 4)
- 1.444 Å, 2θ = 64.5°, I = 338, (2 1 2)
- 1.285 Å, 2θ = 73.7°, I = 89, (2 0 4)

# 12
Er6HgS3: simulated powder diffractogram (Cu Kα (weighted mean of Kα1 and Kα2)), based on a crystal structure in Alexandria, relaxed with PBE.
Lines closer than 0.1° are merged.

Atomic structure:
Cell: 11.660 3.804 11.725 Å, 90.00 111.40 90.00°
Space group P2_1/m (No. 11)
Unique sites:
Er1 0.020 0.250 0.337
Er2 0.136 0.750 0.103
Er3 0.258 0.250 0.660
Er4 0.344 0.750 0.937
Er5 0.354 0.750 0.449
Er6 0.435 0.250 0.233
Hg1 0.124 0.250 0.880
S1 0.132 0.750 0.503
S2 0.224 0.250 0.277
S3 0.460 0.250 0.859

Peak list (8 most intense, 2θ = 10–80°, low angle first)
- 2.988 Å, 2θ = 29.9°, I = 404, (2 1 -2)
- 2.910 Å, 2θ = 30.7°, I = 296, (1 0 -4)
- 2.896 Å, 2θ = 30.9°, I = 294, (4 0 -1)
- 2.886 Å, 2θ = 31.0°, I = 220, (4 0 -2)
- 2.845 Å, 2θ = 31.4°, I = 1000, (1 1 2)
- 2.653 Å, 2θ = 33.8°, I = 274, (3 1 -2)
- 1.902 Å, 2θ = 47.8°, I = 267, (0 2 0)
- 1.886 Å, 2θ = 48.3°, I = 199, (5 1 0)

# 13
Er7HgS5: simulated powder diffractogram (Cu Kα (weighted mean of Kα1 and Kα2)), based on a crystal structure in Alexandria, relaxed with PBE.
Lines closer than 0.1° are merged.

Atomic structure:
Cell: 3.890 23.228 6.693 Å, 90.00 106.79 90.00°
Space group P2_1/m (No. 11)
Unique sites:
Er1 0.022 0.250 0.043
Er2 0.136 0.536 0.273
Er3 0.323 0.173 0.645
Er4 0.408 0.609 0.815
Hg1 0.297 0.750 0.595
S1 0.044 0.639 0.088
S2 0.227 0.070 0.455
S3 0.500 0.000 0.000

Peak list (8 most intense, 2θ = 10–80°, low angle first)
- 3.134 Å, 2θ = 28.5°, I = 430, (1 4 0)
- 2.947 Å, 2θ = 30.3°, I = 985, (0 7 1)
- 2.905 Å, 2θ = 30.8°, I = 466, (1 5 0)
- 2.792 Å, 2θ = 32.1°, I = 1000, (1 2 -2)
- 2.696 Å, 2θ = 33.2°, I = 641, (1 3 1)
- 2.121 Å, 2θ = 42.6°, I = 220, (1 9 -1)
- 1.944 Å, 2θ = 46.7°, I = 552, (2 0 -1)
- 1.623 Å, 2θ = 56.7°, I = 342, (2 7 -2)